No. 1
Diffraction record for Y4Ag. The X-ray powder pattern is theoretical, not measured: it uses a DFT-relaxed cell (PBE, Alexandria) and a wavelength of 1.5418 Å.

The 12 most intense peaks (5° ≤ 2θ ≤ 70°), by intensity:
d [Å], 2theta, I_rel
2.813, 31.81, 100.0
2.676, 33.48, 83.2
2.830, 31.62, 44.9
2.636, 34.01, 37.4
1.719, 53.31, 16.0
2.271, 39.70, 15.0
3.327, 26.79, 11.7
1.569, 58.86, 11.2
1.663, 55.23, 10.4
2.069, 43.75, 10.4
1.521, 60.93, 10.0
1.833, 49.74, 9.8

Cell and atoms:
```
Y4Ag
1.0
0.000 7.609 3.170
6.067 0.000 3.170
6.067 7.609 0.000
Y Ag
8 2
direct
0.033 0.514 0.857 Y
0.040 0.960 0.169 Y
0.081 0.419 0.210 Y
0.393 0.653 0.217 Y
0.419 0.081 0.290 Y
0.514 0.033 0.597 Y
0.653 0.393 0.736 Y
0.960 0.040 0.831 Y
0.579 0.579 0.421 Ag
0.829 0.829 0.671 Ag
```

---

No. 2
Diffraction record for Y4Ag. The X-ray powder pattern is theoretical, not measured: it uses a DFT-relaxed cell (PBE, Alexandria) and a wavelength of 1.5418 Å.

The 12 most intense peaks (5° ≤ 2θ ≤ 70°), by intensity:
d [Å], 2theta, I_rel
2.706, 33.10, 100.0
2.819, 31.74, 50.3
1.606, 57.39, 19.8
1.542, 59.98, 15.4
1.996, 45.44, 9.0
6.304, 14.05, 8.1
1.842, 49.47, 8.1
1.991, 45.57, 7.2
1.603, 57.48, 7.0
2.053, 44.10, 6.1
1.354, 69.42, 4.8
1.865, 48.82, 3.9

Cell and atoms:
```
Y4Ag
1.0
12.599 0.000 0.000
0.000 3.685 0.000
-6.282 0.000 6.309
Y Ag
8 2
direct
0.079 0.000 0.352 Y
0.228 0.500 0.807 Y
0.272 0.000 0.193 Y
0.421 0.500 0.648 Y
0.579 0.500 0.352 Y
0.728 0.000 0.807 Y
0.772 0.500 0.193 Y
0.921 0.000 0.648 Y
0.000 0.500 0.000 Ag
0.500 0.000 0.000 Ag
```

---

No. 3
Diffraction record for Y2Ag5. The X-ray powder pattern is theoretical, not measured: it uses a DFT-relaxed cell (PBE, Alexandria) and a wavelength of 1.5418 Å.

The 12 most intense peaks (5° ≤ 2θ ≤ 70°), by intensity:
d [Å], 2theta, I_rel
2.475, 36.30, 100.0
2.380, 37.79, 82.2
2.231, 40.44, 63.4
2.769, 32.33, 36.8
2.487, 36.12, 28.3
1.563, 59.12, 25.2
6.555, 13.51, 14.6
1.446, 64.42, 12.7
1.527, 60.64, 11.8
1.900, 47.88, 11.3
2.693, 33.27, 9.7
1.347, 69.83, 9.4

Cell and atoms:
```
Y2Ag5
1.0
-3.799 6.532 3.054
3.799 -6.532 3.054
3.799 6.532 -3.054
Y Ag
4 10
direct
0.102 0.183 0.284 Y
0.398 0.683 0.081 Y
0.602 0.317 0.919 Y
0.898 0.817 0.716 Y
0.029 0.750 0.279 Ag
0.133 0.779 0.912 Ag
0.250 0.750 0.500 Ag
0.367 0.279 0.646 Ag
0.471 0.750 0.721 Ag
0.529 0.250 0.279 Ag
0.633 0.721 0.354 Ag
0.750 0.250 0.500 Ag
0.867 0.221 0.088 Ag
0.971 0.250 0.721 Ag
```

---

No. 4
Diffraction record for Y3Ag8. The X-ray powder pattern is theoretical, not measured: it uses a DFT-relaxed cell (PBE, Alexandria) and a wavelength of 1.5418 Å.

The 12 most intense peaks (5° ≤ 2θ ≤ 70°), by intensity:
d [Å], 2theta, I_rel
2.561, 35.04, 100.0
2.492, 36.05, 90.6
2.285, 39.44, 35.8
2.198, 41.06, 28.8
2.091, 43.26, 27.6
1.543, 59.97, 19.8
1.515, 61.16, 16.8
1.377, 68.07, 12.8
1.345, 69.95, 11.8
1.619, 56.86, 10.5
1.551, 59.61, 9.1
2.355, 38.22, 2.1

Cell and atoms:
```
Y3Ag8
1.0
4.871 -2.091 0.000
4.871 2.091 0.000
-2.979 0.000 11.351
Y Ag
3 8
direct
0.000 0.000 0.000 Y
0.108 0.108 0.645 Y
0.892 0.892 0.355 Y
0.162 0.162 0.267 Ag
0.273 0.273 0.907 Ag
0.367 0.367 0.543 Ag
0.444 0.444 0.175 Ag
0.556 0.556 0.825 Ag
0.633 0.633 0.457 Ag
0.727 0.727 0.093 Ag
0.838 0.838 0.733 Ag
```

---

No. 5
Diffraction record for YAg8. The X-ray powder pattern is theoretical, not measured: it uses a DFT-relaxed cell (PBE, Alexandria) and a wavelength of 1.5418 Å.

The 7 most intense peaks (5° ≤ 2θ ≤ 70°), by intensity:
d [Å], 2theta, I_rel
2.453, 36.63, 100.0
2.100, 43.08, 31.0
1.511, 61.34, 20.6
2.177, 41.48, 17.6
1.485, 62.57, 9.5
6.299, 14.06, 1.0
1.935, 46.95, 0.7

Cell and atoms:
```
YAg8
1.0
-4.454 4.454 2.177
4.454 -4.454 2.177
4.454 4.454 -2.177
Y Ag
1 8
direct
0.000 0.000 0.000 Y
0.000 0.339 0.339 Ag
0.000 0.661 0.661 Ag
0.329 0.329 0.657 Ag
0.329 0.671 0.000 Ag
0.339 0.000 0.339 Ag
0.661 0.000 0.661 Ag
0.671 0.329 0.000 Ag
0.671 0.671 0.343 Ag
```

---

No. 6
Diffraction record for Y5Ag24. The X-ray powder pattern is theoretical, not measured: it uses a DFT-relaxed cell (PBE, Alexandria) and a wavelength of 1.5418 Å.

The 12 most intense peaks (5° ≤ 2θ ≤ 70°), by intensity:
d [Å], 2theta, I_rel
2.476, 36.29, 100.0
2.239, 40.28, 31.3
1.429, 65.28, 24.9
2.060, 43.96, 17.4
1.485, 62.53, 10.0
2.144, 42.15, 9.7
1.516, 61.13, 5.9
2.626, 34.15, 5.9
1.403, 66.64, 5.1
4.288, 20.72, 2.6
1.583, 58.27, 2.3
1.379, 67.98, 2.3

Cell and atoms:
```
Y5Ag24
1.0
-5.251 5.251 5.251
5.251 -5.251 5.251
5.251 5.251 -5.251
Y Ag
5 24
direct
0.000 0.000 0.000 Y
0.000 0.000 0.377 Y
0.000 0.377 0.000 Y
0.377 0.000 0.000 Y
0.623 0.623 0.623 Y
0.000 0.325 0.602 Ag
0.000 0.602 0.325 Ag
0.000 0.627 0.811 Ag
0.000 0.811 0.627 Ag
0.184 0.373 0.373 Ag
0.189 0.189 0.816 Ag
0.189 0.816 0.189 Ag
0.277 0.675 0.675 Ag
0.325 0.000 0.602 Ag
0.325 0.602 0.000 Ag
0.373 0.184 0.373 Ag
0.373 0.373 0.184 Ag
0.398 0.398 0.723 Ag
0.398 0.723 0.398 Ag
0.602 0.000 0.325 Ag
0.602 0.325 0.000 Ag
0.627 0.000 0.811 Ag
0.627 0.811 0.000 Ag
0.675 0.277 0.675 Ag
0.675 0.675 0.277 Ag
0.723 0.398 0.398 Ag
0.811 0.000 0.627 Ag
0.811 0.627 0.000 Ag
0.816 0.189 0.189 Ag
```

---

No. 7
Diffraction record for YAg3. The X-ray powder pattern is theoretical, not measured: it uses a DFT-relaxed cell (PBE, Alexandria) and a wavelength of 1.5418 Å.

The 8 most intense peaks (5° ≤ 2θ ≤ 70°), by intensity:
d [Å], 2theta, I_rel
2.455, 36.61, 100.0
2.241, 40.25, 62.0
1.467, 63.41, 30.6
2.744, 32.63, 28.0
1.522, 60.85, 21.1
1.372, 68.36, 13.4
1.584, 58.23, 9.7
3.881, 22.91, 1.5

Cell and atoms:
```
YAg3
1.0
5.489 0.000 0.000
0.000 5.489 0.000
0.000 0.000 5.489
Y Ag
2 6
direct
0.000 0.000 0.000 Y
0.500 0.500 0.500 Y
0.000 0.250 0.500 Ag
0.000 0.750 0.500 Ag
0.250 0.500 0.000 Ag
0.500 0.000 0.250 Ag
0.500 0.000 0.750 Ag
0.750 0.500 0.000 Ag
```

---

No. 8
Diffraction record for Y4Ag. The X-ray powder pattern is theoretical, not measured: it uses a DFT-relaxed cell (PBE, Alexandria) and a wavelength of 1.5418 Å.

The 12 most intense peaks (5° ≤ 2θ ≤ 70°), by intensity:
d [Å], 2theta, I_rel
2.889, 30.96, 100.0
2.454, 36.61, 57.5
1.786, 51.13, 24.2
2.687, 33.34, 21.4
1.488, 62.43, 19.7
13.437, 6.58, 13.9
1.519, 60.99, 13.5
1.689, 54.32, 12.2
1.444, 64.52, 10.4
1.430, 65.25, 5.1
1.577, 58.54, 4.6
2.190, 41.22, 4.5

Cell and atoms:
```
Y4Ag
1.0
3.573 0.000 0.000
-1.786 3.094 0.000
0.000 0.000 40.310
Y Ag
12 3
direct
0.000 0.000 0.108 Y
0.000 0.000 0.297 Y
0.000 0.000 0.703 Y
0.000 0.000 0.892 Y
0.333 0.667 0.370 Y
0.333 0.667 0.558 Y
0.333 0.667 0.775 Y
0.333 0.667 0.964 Y
0.667 0.333 0.036 Y
0.667 0.333 0.225 Y
0.667 0.333 0.442 Y
0.667 0.333 0.630 Y
0.000 0.000 0.500 Ag
0.333 0.667 0.167 Ag
0.667 0.333 0.833 Ag
```

---

No. 9
Diffraction record for Y3Zn6Ag20. The X-ray powder pattern is theoretical, not measured: it uses a DFT-relaxed cell (PBE, Alexandria) and a wavelength of 1.5418 Å.

The 12 most intense peaks (5° ≤ 2θ ≤ 70°), by intensity:
d [Å], 2theta, I_rel
2.509, 35.78, 100.0
2.305, 39.08, 41.3
2.204, 40.95, 36.6
1.966, 46.18, 20.6
1.537, 60.23, 20.2
2.173, 41.56, 17.2
2.661, 33.67, 13.8
1.506, 61.60, 12.8
2.916, 30.67, 11.9
1.431, 65.19, 8.8
4.610, 19.25, 7.7
1.630, 56.46, 5.9

Cell and atoms:
```
Y3Zn6Ag20
1.0
0.000 6.519 6.519
6.519 0.000 6.519
6.519 6.519 0.000
Y Zn Ag
3 6 20
direct
0.000 0.000 0.000 Y
0.250 0.250 0.250 Y
0.750 0.750 0.750 Y
0.266 0.266 0.734 Zn
0.266 0.734 0.266 Zn
0.266 0.734 0.734 Zn
0.734 0.266 0.266 Zn
0.734 0.266 0.734 Zn
0.734 0.734 0.266 Zn
0.000 0.000 0.350 Ag
0.000 0.000 0.650 Ag
0.000 0.350 0.000 Ag
0.000 0.350 0.650 Ag
0.000 0.650 0.000 Ag
0.000 0.650 0.350 Ag
0.146 0.618 0.618 Ag
0.350 0.000 0.000 Ag
0.350 0.000 0.650 Ag
0.350 0.650 0.000 Ag
0.382 0.382 0.382 Ag
0.382 0.382 0.854 Ag
0.382 0.854 0.382 Ag
0.618 0.146 0.618 Ag
0.618 0.618 0.146 Ag
0.618 0.618 0.618 Ag
0.650 0.000 0.000 Ag
0.650 0.000 0.350 Ag
0.650 0.350 0.000 Ag
0.854 0.382 0.382 Ag
```

---

No. 10
Diffraction record for Y4ZnAg3. The X-ray powder pattern is theoretical, not measured: it uses a DFT-relaxed cell (PBE, Alexandria) and a wavelength of 1.5418 Å.

The 12 most intense peaks (5° ≤ 2θ ≤ 70°), by intensity:
d [Å], 2theta, I_rel
2.568, 34.95, 100.0
2.559, 35.06, 49.9
1.479, 62.82, 34.1
1.810, 50.43, 17.1
1.484, 62.60, 16.8
1.822, 50.08, 8.5
14.572, 6.07, 1.9
2.902, 30.81, 1.4
3.241, 27.52, 0.7
3.513, 25.36, 0.7
1.615, 57.03, 0.6
7.286, 12.15, 0.6

Cell and atoms:
```
Y4ZnAg3
1.0
3.619 0.000 0.000
0.000 3.619 0.000
0.000 0.000 14.572
Y Zn Ag
4 1 3
direct
0.000 0.000 0.120 Y
0.000 0.000 0.373 Y
0.000 0.000 0.627 Y
0.000 0.000 0.880 Y
0.500 0.500 0.000 Zn
0.500 0.500 0.246 Ag
0.500 0.500 0.500 Ag
0.500 0.500 0.754 Ag
```

---

No. 11
Diffraction record for Y3Zn8Ag. The X-ray powder pattern is theoretical, not measured: it uses a DFT-relaxed cell (PBE, Alexandria) and a wavelength of 1.5418 Å.

The 12 most intense peaks (5° ≤ 2θ ≤ 70°), by intensity:
d [Å], 2theta, I_rel
2.299, 39.18, 100.0
2.307, 39.05, 34.8
2.200, 41.02, 32.3
1.468, 63.37, 30.7
2.693, 33.27, 25.5
2.704, 33.13, 24.8
1.347, 69.85, 16.8
1.352, 69.54, 15.9
1.556, 59.39, 13.3
2.212, 40.80, 10.0
1.471, 63.21, 7.0
1.563, 59.11, 3.9

Cell and atoms:
```
Y3Zn8Ag
1.0
2.693 1.555 8.847
-2.693 1.555 8.847
0.000 -3.110 8.847
Y Zn Ag
3 8 1
direct
0.000 0.000 0.000 Y
0.126 0.126 0.126 Y
0.616 0.616 0.616 Y
0.059 0.561 0.561 Zn
0.061 0.061 0.559 Zn
0.061 0.559 0.061 Zn
0.310 0.310 0.310 Zn
0.559 0.061 0.061 Zn
0.561 0.059 0.561 Zn
0.561 0.561 0.059 Zn
0.811 0.811 0.811 Zn
0.495 0.495 0.495 Ag
```

---

No. 12
Diffraction record for YZn12Ag7. The X-ray powder pattern is theoretical, not measured: it uses a DFT-relaxed cell (PBE, Alexandria) and a wavelength of 1.5418 Å.

The 12 most intense peaks (5° ≤ 2θ ≤ 70°), by intensity:
d [Å], 2theta, I_rel
1.925, 47.21, 100.0
3.335, 26.73, 67.6
2.358, 38.16, 53.1
6.670, 13.27, 36.9
2.109, 42.88, 31.3
2.521, 35.61, 18.5
2.983, 29.96, 15.1
1.491, 62.25, 13.8
3.851, 23.10, 12.5
1.667, 55.08, 10.6
2.223, 40.58, 8.1
2.011, 45.08, 7.8

Cell and atoms:
```
YZn12Ag7
1.0
-4.716 4.716 4.716
4.716 -4.716 4.716
4.716 4.716 -4.716
Y Zn Ag
1 12 7
direct
0.000 0.000 0.000 Y
0.107 0.752 0.355 Zn
0.248 0.355 0.603 Zn
0.248 0.645 0.893 Zn
0.355 0.107 0.752 Zn
0.355 0.603 0.248 Zn
0.397 0.752 0.645 Zn
0.603 0.248 0.355 Zn
0.645 0.397 0.752 Zn
0.645 0.893 0.248 Zn
0.752 0.355 0.107 Zn
0.752 0.645 0.397 Zn
0.893 0.248 0.645 Zn
0.000 0.000 0.500 Ag
0.000 0.500 0.000 Ag
0.000 0.500 0.500 Ag
0.500 0.000 0.000 Ag
0.500 0.000 0.500 Ag
0.500 0.500 0.000 Ag
0.500 0.500 0.500 Ag
```